Structure and computed XRD peak list of Li4Mg2InAu (a GGA-PBE-relaxed structure; Cu Ka).
No peak broadening, texture or thermal motion is included.

Most intense lines, 2θ = 10–80°, in order of falling intensity:
23.43°, d = 3.796 Å, I = 100; 38.60°, d = 2.333 Å, I = 44; 46.00°, d = 1.973 Å, I = 34; 27.30°, d = 3.266 Å, I = 25; 39.00°, d = 2.310 Å, I = 21; 45.29°, d = 2.002 Å, I = 18; 70.37°, d = 1.338 Å, I = 15; 61.27°, d = 1.513 Å, I = 14; 26.75°, d = 3.332 Å, I = 13; 47.92°, d = 1.898 Å, I = 11

Crystal structure
Cell lengths 4.619, 4.619, 6.665 Å; angles 90.00, 90.00, 90.00 degrees
Fractional positions:
Li  0.000  0.000  0.000
Li  0.000  0.500  0.238
Li  0.500  0.000  0.762
Li  0.500  0.500  0.500
Mg  0.000  0.500  0.771
Mg  0.500  0.000  0.229
In  0.000  0.000  0.500
Au  0.500  0.500  0.000



Structure and computed XRD peak list of Lu2Sc4Cd3C3 (a GGA-PBE-relaxed structure; Cu Ka).
No peak broadening, texture or thermal motion is included.

Most intense lines, 2θ = 10–80°, in order of falling intensity:
35.18°, d = 2.551 Å, I = 100; 35.02°, d = 2.562 Å, I = 33; 35.30°, d = 2.543 Å, I = 26; 26.05°, d = 3.420 Å, I = 23; 23.31°, d = 3.817 Å, I = 23; 35.45°, d = 2.532 Å, I = 22; 27.55°, d = 3.238 Å, I = 19; 22.07°, d = 4.028 Å, I = 18; 62.92°, d = 1.477 Å, I = 15; 63.56°, d = 1.464 Å, I = 14

Crystal structure
Cell lengths 5.884, 5.884, 15.748 Å; angles 100.83, 100.83, 59.96 degrees
Fractional positions:
Lu  0.031  0.866  0.593
Lu  0.134  0.969  0.907
Lu  0.866  0.031  0.093
Lu  0.969  0.134  0.407
Sc  0.191  0.356  0.075
Sc  0.305  0.477  0.425
Sc  0.356  0.191  0.575
Sc  0.477  0.305  0.925
Sc  0.523  0.695  0.075
Sc  0.644  0.809  0.425
Sc  0.695  0.523  0.575
Sc  0.809  0.644  0.925
Cd  0.086  0.397  0.751
Cd  0.397  0.086  0.251
Cd  0.430  0.570  0.250
Cd  0.570  0.430  0.750
Cd  0.603  0.914  0.749
Cd  0.914  0.603  0.249
C  0.000  0.500  0.500
C  0.167  0.667  0.000
C  0.333  0.833  0.500
C  0.500  0.000  0.000
C  0.667  0.167  0.500
C  0.833  0.333  0.000



Structure and computed XRD peak list of Al4Re9 (a GGA-PBE-relaxed structure; Cu Ka).
No peak broadening, texture or thermal motion is included.

Most intense lines, 2θ = 10–80°, in order of falling intensity:
19.96°, d = 4.449 Å, I = 100; 40.63°, d = 2.221 Å, I = 85; 44.03°, d = 2.056 Å, I = 73; 40.51°, d = 2.227 Å, I = 72; 24.01°, d = 3.706 Å, I = 65; 47.24°, d = 1.924 Å, I = 62; 41.07°, d = 2.198 Å, I = 62; 42.41°, d = 2.131 Å, I = 54; 73.63°, d = 1.287 Å, I = 38; 73.79°, d = 1.284 Å, I = 33

Crystal structure
Cell lengths 9.382, 9.382, 9.382 Å; angles 31.84, 31.84, 31.84 degrees
Fractional positions:
Al  0.152  0.152  0.152
Al  0.334  0.334  0.334
Al  0.666  0.666  0.666
Al  0.848  0.848  0.848
Re  0.045  0.045  0.045
Re  0.083  0.588  0.588
Re  0.412  0.412  0.917
Re  0.412  0.917  0.412
Re  0.500  0.500  0.500
Re  0.588  0.083  0.588
Re  0.588  0.588  0.083
Re  0.917  0.412  0.412
Re  0.955  0.955  0.955



Structure and computed XRD peak list of Pm6GeTe5 (a GGA-PBE-relaxed structure; Cu Ka).
No peak broadening, texture or thermal motion is included.

Most intense lines, 2θ = 10–80°, in order of falling intensity:
28.39°, d = 3.144 Å, I = 100; 40.54°, d = 2.225 Å, I = 37; 40.63°, d = 2.221 Å, I = 36; 66.51°, d = 1.406 Å, I = 20; 50.31°, d = 1.814 Å, I = 19; 58.74°, d = 1.572 Å, I = 12; 73.73°, d = 1.285 Å, I = 9; 73.90°, d = 1.282 Å, I = 9; 50.16°, d = 1.819 Å, I = 7; 66.39°, d = 1.408 Å, I = 5

Crystal structure
Cell lengths 7.689, 7.689, 7.711 Å; angles 99.56, 99.56, 119.91 degrees
Fractional positions:
Pm  0.077  0.388  0.733
Pm  0.230  0.230  0.262
Pm  0.388  0.077  0.733
Pm  0.612  0.923  0.267
Pm  0.770  0.770  0.738
Pm  0.923  0.612  0.267
Ge  0.000  0.000  0.500
Te  0.174  0.826  0.000
Te  0.335  0.665  0.500
Te  0.500  0.500  0.000
Te  0.665  0.335  0.500
Te  0.826  0.174  0.000



Structure and computed XRD peak list of ZnO8F2 (a GGA-PBE-relaxed structure; Cu Ka).
No peak broadening, texture or thermal motion is included.

Most intense lines, 2θ = 10–80°, in order of falling intensity:
26.35°, d = 3.382 Å, I = 100; 14.34°, d = 6.175 Å, I = 57; 25.16°, d = 3.539 Å, I = 52; 36.48°, d = 2.463 Å, I = 48; 37.05°, d = 2.426 Å, I = 47; 37.69°, d = 2.387 Å, I = 42; 26.85°, d = 3.320 Å, I = 41; 35.14°, d = 2.554 Å, I = 25; 39.61°, d = 2.275 Å, I = 22; 45.54°, d = 1.992 Å, I = 18

Crystal structure
Cell lengths 4.783, 4.785, 6.191 Å; angles 86.08, 87.20, 61.02 degrees
Fractional positions:
Zn  0.000  0.000  0.000
O  0.113  0.562  0.502
O  0.227  0.110  0.194
O  0.310  0.341  0.125
O  0.389  0.744  0.825
O  0.611  0.256  0.175
O  0.690  0.659  0.875
O  0.773  0.890  0.806
O  0.887  0.438  0.498
F  0.368  0.288  0.610
F  0.632  0.712  0.390



Structure and computed XRD peak list of Ba3TaGa3Si2O14 (a GGA-PBE-relaxed structure; Cu Ka).
No peak broadening, texture or thermal motion is included.

Most intense lines, 2θ = 10–80°, in order of falling intensity:
29.70°, d = 3.008 Å, I = 100; 27.07°, d = 3.294 Å, I = 52; 24.11°, d = 3.691 Å, I = 26; 57.22°, d = 1.610 Å, I = 24; 36.55°, d = 2.459 Å, I = 21; 42.59°, d = 2.123 Å, I = 19; 32.08°, d = 2.790 Å, I = 19; 11.99°, d = 7.381 Å, I = 17; 47.87°, d = 1.900 Å, I = 16; 34.56°, d = 2.595 Å, I = 15

Crystal structure
Cell lengths 8.523, 8.523, 5.190 Å; angles 90.00, 90.00, 120.00 degrees
Fractional positions:
Ba  0.000  0.433  0.000
Ba  0.433  0.000  0.000
Ba  0.567  0.567  0.000
Ta  0.000  0.000  0.000
Ga  0.000  0.745  0.500
Ga  0.255  0.255  0.500
Ga  0.745  0.000  0.500
Si  0.333  0.667  0.520
Si  0.667  0.333  0.480
O  0.105  0.219  0.226
O  0.113  0.895  0.226
O  0.176  0.703  0.649
O  0.219  0.105  0.774
O  0.297  0.474  0.649
O  0.333  0.667  0.211
O  0.474  0.297  0.351
O  0.526  0.824  0.649
O  0.667  0.333  0.789
O  0.703  0.176  0.351
O  0.781  0.887  0.226
O  0.824  0.526  0.351
O  0.887  0.781  0.774
O  0.895  0.113  0.774



Structure and computed XRD peak list of Y3Sn2IrPd2Pt (a GGA-PBE-relaxed structure; Cu Ka).
No peak broadening, texture or thermal motion is included.

Most intense lines, 2θ = 10–80°, in order of falling intensity:
35.53°, d = 2.527 Å, I = 100; 32.33°, d = 2.769 Å, I = 94; 43.85°, d = 2.065 Å, I = 91; 14.31°, d = 6.190 Å, I = 62; 43.94°, d = 2.061 Å, I = 59; 41.21°, d = 2.191 Å, I = 46; 69.55°, d = 1.352 Å, I = 40; 61.77°, d = 1.502 Å, I = 33; 24.91°, d = 3.574 Å, I = 31; 38.46°, d = 2.341 Å, I = 28

Crystal structure
Cell lengths 4.381, 7.151, 7.151 Å; angles 120.18, 90.00, 90.00 degrees
Fractional positions:
Y  0.000  0.000  0.000
Y  0.000  0.239  0.618
Y  0.000  0.618  0.239
Sn  0.500  0.286  0.953
Sn  0.500  0.953  0.286
Ir  0.000  0.618  0.618
Pd  0.500  0.619  0.854
Pd  0.500  0.854  0.619
Pt  0.500  0.387  0.387



Structure and computed XRD peak list of BaGaSnPdAu (a GGA-PBE-relaxed structure; Cu Ka).
No peak broadening, texture or thermal motion is included.

Most intense lines, 2θ = 10–80°, in order of falling intensity:
31.45°, d = 2.845 Å, I = 100; 38.36°, d = 2.346 Å, I = 66; 30.86°, d = 2.897 Å, I = 28; 65.08°, d = 1.433 Å, I = 25; 55.37°, d = 1.659 Å, I = 23; 37.79°, d = 2.380 Å, I = 23; 42.59°, d = 2.123 Å, I = 21; 24.90°, d = 3.577 Å, I = 19; 45.36°, d = 1.999 Å, I = 18; 54.95°, d = 1.671 Å, I = 15

Crystal structure
Cell lengths 4.693, 4.693, 11.049 Å; angles 90.00, 90.00, 90.00 degrees
Fractional positions:
Ba  0.250  0.250  0.233
Ba  0.750  0.750  0.767
Ga  0.250  0.250  0.901
Ga  0.750  0.750  0.099
Sn  0.250  0.750  0.500
Sn  0.750  0.250  0.500
Pd  0.250  0.750  0.000
Pd  0.750  0.250  0.000
Au  0.250  0.250  0.661
Au  0.750  0.750  0.339